Record 1
Starting from a DFT-relaxed cell (GGA-PBE, Alexandria), the powder diffraction line list of K2CuH8C4O12 was simulated for Cu Ka.
No peak broadening, texture or thermal motion is included.

Structural model:
a b c (Å): 4.045 14.601 11.504
angles (deg): 90.00 107.93 90.00
Fractional positions:
K 0.138 0.138 0.010
K 0.138 0.362 0.510
K 0.862 0.638 0.490
K 0.862 0.862 0.990
Cu 0.000 0.000 0.500
Cu 0.000 0.500 0.000
H 0.284 0.719 0.851
H 0.284 0.781 0.351
H 0.445 0.686 0.984
H 0.445 0.814 0.484
H 0.458 0.132 0.752
H 0.458 0.368 0.252
H 0.491 0.237 0.791
H 0.491 0.263 0.291
H 0.509 0.737 0.709
H 0.509 0.763 0.209
H 0.542 0.632 0.748
H 0.542 0.868 0.248
H 0.555 0.186 0.516
H 0.555 0.314 0.016
H 0.716 0.219 0.649
H 0.716 0.281 0.149
C 0.087 0.520 0.246
C 0.087 0.980 0.746
C 0.170 0.096 0.322
C 0.170 0.404 0.822
C 0.830 0.596 0.178
C 0.830 0.904 0.678
C 0.913 0.020 0.254
C 0.913 0.480 0.754
O 0.176 0.514 0.359
O 0.176 0.986 0.859
O 0.193 0.033 0.674
O 0.193 0.467 0.174
O 0.251 0.094 0.440
O 0.251 0.406 0.940
O 0.286 0.152 0.263
O 0.286 0.348 0.763
O 0.310 0.737 0.936
O 0.310 0.763 0.436
O 0.373 0.681 0.709
O 0.373 0.819 0.209
O 0.627 0.181 0.791
O 0.627 0.319 0.291
O 0.690 0.237 0.564
O 0.690 0.263 0.064
O 0.714 0.652 0.237
O 0.714 0.848 0.737
O 0.749 0.594 0.060
O 0.749 0.906 0.560
O 0.807 0.533 0.826
O 0.807 0.967 0.326
O 0.824 0.014 0.141
O 0.824 0.486 0.641

Most intense lines, 2θ from 10° to 90°, in order of falling intensity:
d/Å, I/Imax
3.109, 100
4.447, 60
7.301, 55
3.405, 50
8.758, 45
2.918, 39
3.020, 37
3.849, 25
2.736, 20
2.772, 17

---

Record 2
Starting from a DFT-relaxed cell (GGA-PBE, Alexandria), the powder diffraction line list of TbSc2NbO8 was simulated for Cu Ka.
No peak broadening, texture or thermal motion is included.

Structural model:
a b c (Å): 4.897 4.897 6.672
angles (deg): 90.00 90.00 90.19
Fractional positions:
Tb 0.000 0.000 0.000
Sc 0.500 0.500 0.254
Sc 0.500 0.500 0.746
Nb 0.000 0.000 0.500
O 0.196 0.196 0.279
O 0.196 0.196 0.721
O 0.294 0.706 0.500
O 0.321 0.679 0.000
O 0.679 0.321 0.000
O 0.706 0.294 0.500
O 0.804 0.804 0.279
O 0.804 0.804 0.721

Most intense lines, 2θ from 10° to 90°, in order of falling intensity:
d/Å, I/Imax
3.463, 100
2.757, 74
1.831, 67
4.897, 44
2.401, 23
1.466, 21
2.449, 17
1.503, 16
2.193, 13
3.336, 10

---

Record 3
Starting from a DFT-relaxed cell (GGA-PBE, Alexandria), the powder diffraction line list of Pm3Mg11 was simulated for Cu Ka.
No peak broadening, texture or thermal motion is included.

Structural model:
a b c (Å): 8.938 8.938 8.938
angles (deg): 147.35 100.72 88.40
Fractional positions:
Pm 0.000 0.000 0.000
Pm 0.282 0.282 0.000
Pm 0.718 0.718 0.000
Mg 0.004 0.633 0.371
Mg 0.130 0.855 0.274
Mg 0.262 0.633 0.629
Mg 0.344 0.500 0.844
Mg 0.419 0.145 0.274
Mg 0.500 0.000 0.500
Mg 0.581 0.855 0.726
Mg 0.656 0.500 0.156
Mg 0.738 0.367 0.371
Mg 0.870 0.145 0.726
Mg 0.996 0.367 0.629

Most intense lines, 2θ from 10° to 90°, in order of falling intensity:
d/Å, I/Imax
4.599, 100
2.827, 93
5.702, 75
2.629, 73
3.032, 68
2.793, 46
2.513, 44
1.473, 41
1.883, 31
2.840, 31

---

Record 4
Starting from a DFT-relaxed cell (GGA-PBE, Alexandria), the powder diffraction line list of RbBeAg was simulated for Cu Ka.
No peak broadening, texture or thermal motion is included.

Structural model:
a b c (Å): 5.206 20.710 3.971
angles (deg): 90.00 90.00 90.00
Fractional positions:
Rb 0.250 0.147 0.000
Rb 0.250 0.647 0.500
Rb 0.750 0.353 0.500
Rb 0.750 0.853 0.000
Be 0.000 0.000 0.493
Be 0.000 0.500 0.993
Be 0.500 0.000 0.493
Be 0.500 0.500 0.993
Ag 0.250 0.478 0.493
Ag 0.250 0.978 0.993
Ag 0.750 0.022 0.993
Ag 0.750 0.522 0.493

Most intense lines, 2θ from 10° to 90°, in order of falling intensity:
d/Å, I/Imax
3.900, 100
2.511, 63
2.165, 47
2.877, 38
3.671, 38
3.451, 33
2.603, 26
2.372, 22
1.753, 20
1.617, 18